For AlGeAu2, a DFT-relaxed cell (PBE, Alexandria) gives the simulated PXRD pattern in this record (CuKα).
Peak positions follow from Bragg's law for the DFT cell and can differ from measured ones.

Largest 8 diffraction maxima, low angle first, 15 to 90 degrees two-theta:
2θ 21.90, d = 4.058 Å, I = 48
2θ 32.12, d = 2.787 Å, I = 56
2θ 35.22, d = 2.548 Å, I = 42
2θ 36.98, d = 2.431 Å, I = 100
2θ 41.35, d = 2.184 Å, I = 44
2θ 49.57, d = 1.839 Å, I = 22
2θ 56.84, d = 1.620 Å, I = 36
2θ 75.03, d = 1.266 Å, I = 27

Cell and atoms:
```
AlGeAu2
1.0
3.239 0.000 0.000
-1.620 2.805 0.000
0.000 0.000 24.350
Al Ge Au
3 3 6
direct
0.000 0.000 0.000
0.333 0.667 0.667
0.667 0.333 0.333
0.000 0.000 0.167
0.333 0.667 0.834
0.667 0.333 0.500
0.000 0.000 0.410
0.000 0.000 0.590
0.333 0.667 0.077
0.333 0.667 0.257
0.667 0.333 0.744
0.667 0.333 0.923
```